For KCaCl3, a GGA-PBE-relaxed structure gives the computed XRD peak list in this record (Cu Kα X-rays).
No peak broadening, texture or thermal motion is included.

Cell and atoms:
Lattice parameters (Å, degrees): 7.2933 7.2933 20.8076 90.00 90.00 120.00
Space group R-3 (No. 148, hexagonal axes)
Unique sites:
K 0.0000 0.0000 0.1415 (multiplicity 6)
Ca 0.0000 0.0000 0.3408 (multiplicity 6)
Cl 0.0143 0.3895 0.9246 (multiplicity 18)

Largest 10 diffraction maxima, in order of falling intensity, 15 to 90 degrees two-theta:
| two_theta | d (Å) | intensity |
| --- | --- | --- |
| 27.64 | 3.228 | 100.0 |
| 35.73 | 2.513 | 96.4 |
| 42.96 | 2.105 | 48.7 |
| 16.42 | 5.399 | 45.0 |
| 22.14 | 4.015 | 37.1 |
| 33.19 | 2.700 | 29.8 |
| 41.62 | 2.170 | 26.5 |
| 46.51 | 1.953 | 24.8 |
| 57.06 | 1.614 | 15.4 |
| 70.28 | 1.339 | 13.0 |